The following is a simulated powder diffraction line list of NiH12C2S2N6. It was derived from a structure optimized by DFT (PBE), using CuKα.
Intensities are scaled so that the largest is 100.

Cell and atoms:
```
23
Lattice="5.6454 -4.1614 0.0000 5.6454 4.1614 0.0000 -1.8231 0.0000 5.8270" Properties=species:S:1:pos:R:3 pbc="T T T"
Ni 0.0000 0.0000 0.0000
H 0.2612 1.2277 4.5780
H 4.1735 1.9648 0.0603
H 4.9439 2.0493 1.5144
H 4.5238 2.0493 4.3125
H 0.2612 -1.2277 4.5780
H 5.2942 1.9648 5.7667
H 4.1735 -1.9648 0.0603
H 9.2066 1.2277 1.2490
H 4.9439 -2.0493 1.5144
H 4.5238 -2.0493 4.3125
H 5.2942 -1.9648 5.7667
H 9.2066 -1.2277 1.2490
C 1.7917 0.0000 2.6695
C 7.6761 0.0000 3.1575
S 2.6310 0.0000 4.0758
S 6.8368 0.0000 1.7512
N 4.4321 2.6032 0.8203
N 1.1638 0.0000 1.6666
N 5.0356 2.6032 5.0067
N 4.4321 -2.6032 0.8203
N 8.3040 0.0000 4.1604
N 5.0356 -2.6032 5.0067
```

Peak list (10 most intense, 2θ from 10° to 90°, by angle)
2θ = 13.44°, intensity 69; 2θ = 15.21°, intensity 20; 2θ = 18.80°, intensity 85; 2θ = 21.35°, intensity 43; 2θ = 22.14°, intensity 67; 2θ = 27.04°, intensity 24; 2θ = 28.60°, intensity 100; 2θ = 41.15°, intensity 15; 2θ = 44.11°, intensity 42; 2θ = 47.77°, intensity 18


The following is a simulated powder diffraction line list of NiH6C2S2N4. It was derived from a structure optimized by DFT (PBE), using CuKα.
Intensities are scaled so that the largest is 100.

Cell and atoms:
```
15
Lattice="5.2833 -4.0417 0.0000 5.2833 4.0417 0.0000 -0.5922 0.0000 4.9254" Properties=species:S:1:pos:R:3 pbc="T T T"
Ni 0.0000 0.0000 0.0000
H 4.2445 1.7299 4.0959
H 4.7921 1.7607 0.8326
H 6.2478 1.7612 0.0407
H 4.2445 -1.7299 4.0959
H 4.7921 -1.7607 0.8326
H 6.2478 -1.7612 0.0407
C 1.9200 0.0000 3.2978
C 8.0988 0.0000 1.7008
S 3.3487 0.0000 2.5229
S 6.7320 0.0000 2.5639
N 0.8929 0.0000 3.8843
N 5.2898 2.1236 0.0125
N 5.2898 -2.1236 0.0125
N 9.0921 0.0000 1.0524
```

Peak list (10 most intense, 2θ from 10° to 90°, by angle)
2θ = 13.83°, intensity 48; 2θ = 21.98°, intensity 88; 2θ = 23.25°, intensity 26; 2θ = 23.58°, intensity 100; 2θ = 26.26°, intensity 57; 2θ = 27.80°, intensity 32; 2θ = 34.51°, intensity 21; 2θ = 39.56°, intensity 20; 2θ = 44.85°, intensity 17; 2θ = 49.03°, intensity 18


The following is a simulated powder diffraction line list of NiH10C4S2N8. It was derived from a structure optimized by DFT (PBE), using CuKα.
Intensities are scaled so that the largest is 100.

Cell and atoms:
```
50
Lattice="7.5557 -3.9038 0.0000 7.5557 3.9038 0.0000 -2.8847 0.0000 9.0951" Properties=species:S:1:pos:R:3 pbc="T T T"
Ni 5.3921 3.0526 6.8213
Ni 6.8345 -3.0526 2.2738
H 3.0988 0.9391 0.4292
H 2.0499 1.1239 5.2817
H 5.7808 2.4795 2.4542
H 3.8529 1.6050 3.4657
H 7.8882 2.4795 2.0933
H 1.6564 -0.9391 4.9768
H 4.8450 0.8389 7.8042
H 3.4923 -1.1239 0.7342
H 5.9392 0.8389 5.8384
H 9.8161 1.6050 1.0818
H 2.4105 -1.6050 8.0133
H 6.2874 -0.8389 3.2567
H 8.7344 1.1239 8.3609
H 7.3816 -0.8389 1.2909
H 10.5702 0.9391 4.1183
H 4.3385 -2.4795 7.0018
H 8.3738 -1.6050 5.6294
H 6.4458 -2.4795 6.6409
H 10.1767 -1.1239 3.8134
H 9.1279 -0.9391 8.6659
C 0.2550 0.3153 5.8103
C 3.2370 1.8173 8.2908
C 1.6974 -0.3153 1.2627
C 7.5472 1.8173 5.3518
C 4.6794 -1.8173 3.7433
C 10.5293 0.3153 7.8324
C 8.9896 -1.8173 0.8043
C 11.9716 -0.3153 3.2848
S 5.4805 0.5457 0.1766
S 4.0381 -0.5457 4.7242
S 8.1885 0.5457 4.3709
S 6.7462 -0.5457 8.9185
N -0.9487 0.4692 6.3094
N 1.1475 1.3316 5.6974
N 2.1499 0.9065 0.8305
N 0.4936 -0.4692 1.7619
N 4.3670 1.7312 7.6287
N 0.7076 -0.9065 5.3780
N 6.4173 1.7312 6.0139
N 2.5898 -1.3316 1.1499
N 9.6368 1.3316 7.9452
N 5.8094 -1.7312 3.0812
N 11.5191 0.9065 3.7171
N 7.8596 -1.7312 1.4664
N 11.7330 0.4692 7.3332
N 10.0767 -0.9065 8.2646
N 11.0791 -1.3316 3.3977
N 13.1754 -0.4692 2.7857
```

Peak list (10 most intense, 2θ from 10° to 90°, by angle)
2θ = 12.29°, intensity 31; 2θ = 12.90°, intensity 51; 2θ = 17.27°, intensity 60; 2θ = 25.00°, intensity 93; 2θ = 26.13°, intensity 100; 2θ = 26.40°, intensity 31; 2θ = 26.52°, intensity 29; 2θ = 39.93°, intensity 12; 2θ = 40.10°, intensity 13; 2θ = 46.02°, intensity 16